# 1
Diffraction record for YMnFeP2. The powder diffraction line list is theoretical, not measured: it uses DFT lattice parameters and positions (GGA-PBE) and Cu Kα (λ = 1.5418 Å).

Most intense lines, 2θ = 10–90°, by intensity:
2θ (°)	Rel. int.	index
37.98	100	1 1 2
36.74	50	1 0 3
46.96	42	2 0 0
68.62	31	2 2 0
81.20	25	0 0 8
61.06	21	2 1 3
24.85	17	1 0 1
53.88	15	1 0 5
61.93	11	2 0 4
74.22	9	2 1 5

Structure:
Lattice parameters (Å, degrees): 3.8700 3.8700 9.4701 90.00 90.00 90.00
Space group I-4m2 (No. 119)
Unique sites:
Y  0.0000  0.0000  0.0000 x2
Mn  0.0000  0.5000  0.7500 x2
Fe  0.0000  0.5000  0.2500 x2
P  0.0000  0.0000  0.3641 x4

=====

# 2
Diffraction record for Ce3Ho2Sb3. The powder diffraction line list is theoretical, not measured: it uses DFT lattice parameters and positions (GGA-PBE) and Cu Kα (λ = 1.5418 Å).

Most intense lines, 2θ = 10–90°, by intensity:
2θ (°)	Rel. int.	index
33.09	100	2 1 1
34.20	91	1 1 2
34.04	53	3 0 0
29.92	36	2 1 0
52.68	27	2 1 3
49.02	23	2 2 2
65.88	21	5 0 2
30.10	19	1 0 2
54.57	15	4 0 2
27.85	14	0 0 2

Structure:
Lattice parameters (Å, degrees): 9.1247 9.1247 6.4077 90.00 90.00 120.00
Space group P6_3/mcm (No. 193)
Unique sites:
Ce  0.0000  0.2459  0.2500 x6
Ho  0.3333  0.6667  0.0000 x4
Sb  0.0000  0.3942  0.7500 x6

=====

# 3
Diffraction record for Pm6Pr12Th. The powder diffraction line list is theoretical, not measured: it uses DFT lattice parameters and positions (GGA-PBE) and Cu Kα (λ = 1.5418 Å).

Most intense lines, 2θ = 10–90°, by intensity:
2θ (°)	Rel. int.	index
30.67	100	0 3 3
31.23	68	4 0 1
47.68	28	3 0 6
28.30	27	1 0 4
55.24	26	4 3 4
33.45	19	0 4 2
59.48	13	3 4 5
35.11	11	0 1 5
10.12	11	1 0 1
56.64	10	0 7 2

Structure:
Lattice parameters (Å, degrees): 13.5598 13.5598 13.0945 90.00 90.00 120.00
Space group R-3m (No. 166, hexagonal axes)
Unique sites:
Pm  0.0878  0.1755  0.2722 x18
Pr  0.0000  0.2619  0.5000 x18
Pr  0.0580  0.5290  0.6128 x18
Th  0.0000  0.0000  0.5000 x3

=====

# 4
Diffraction record for MnSb2TeSe. The powder diffraction line list is theoretical, not measured: it uses DFT lattice parameters and positions (GGA-PBE) and Cu Kα (λ = 1.5418 Å).

Most intense lines, 2θ = 10–90°, by intensity:
2θ (°)	Rel. int.	index
30.90	100	1 1 1
35.69	56	2 0 0
51.68	38	2 0 2
61.15	28	3 1 1
36.11	27	0 0 2
51.36	19	2 2 0
64.38	19	2 2 2
61.72	14	1 1 3
17.62	14	1 0 0
84.36	12	3 1 3

Structure:
Lattice parameters (Å, degrees): 5.0321 5.0321 4.9746 90.00 90.00 90.00
Space group P4/mmm (No. 123)
Unique sites:
Mn  0.0000  0.0000  0.0000 x1
Sb  0.0000  0.5000  0.0000 x2
Te  0.0000  0.0000  0.5000 x1
Se  0.5000  0.5000  0.5000 x1

=====

# 5
Diffraction record for Er4PdPt3. The powder diffraction line list is theoretical, not measured: it uses DFT lattice parameters and positions (GGA-PBE) and Cu Kα (λ = 1.5418 Å).

Most intense lines, 2θ = 10–90°, by intensity:
2θ (°)	Rel. int.	index
32.55	100	1 1 1
40.89	76	1 1 3
40.00	34	0 2 0
34.30	32	0 0 4
39.86	22	0 1 4
49.53	19	2 0 0
53.69	18	0 2 4
65.47	16	2 2 0
73.26	14	1 3 3
35.47	13	1 0 3

Structure:
Lattice parameters (Å, degrees): 3.6807 4.5081 10.4586 90.00 90.00 90.00
Space group Pmm2 (No. 25)
Unique sites:
Er  0.0000  0.0000  0.0000 x1
Er  0.0000  0.5000  0.2729 x1
Er  0.5000  0.0000  0.4952 x1
Er  0.5000  0.5000  0.7718 x1
Pd  0.0000  0.0000  0.7234 x1
Pt  0.0000  0.5000  0.5489 x1
Pt  0.5000  0.0000  0.2234 x1
Pt  0.5000  0.5000  0.0444 x1

=====

# 6
Diffraction record for Nd4DyCd. The powder diffraction line list is theoretical, not measured: it uses DFT lattice parameters and positions (GGA-PBE) and Cu Kα (λ = 1.5418 Å).

Most intense lines, 2θ = 10–90°, by intensity:
2θ (°)	Rel. int.	index
32.03	100	2 2 1
32.68	82	1 5 0
30.82	66	3 1 -1
33.48	55	1 3 -2
27.79	42	1 3 1
32.52	41	2 2 -2
28.43	30	1 1 -2
52.71	19	4 2 -3
50.16	15	1 1 3
60.86	15	3 5 2

Structure:
Lattice parameters (Å, degrees): 8.9684 14.4858 6.4335 90.00 109.46 90.00
Space group C2/c (No. 15)
Unique sites:
Nd  0.0978  0.1911  0.0461 x8
Nd  0.2136  0.3819  0.3758 x8
Dy  0.0000  0.4122  0.7500 x4
Cd  0.0000  0.0011  0.7500 x4

=====

# 7
Diffraction record for Rb4Pd3F12. The powder diffraction line list is theoretical, not measured: it uses DFT lattice parameters and positions (GGA-PBE) and Cu Kα (λ = 1.5418 Å).

Most intense lines, 2θ = 10–90°, by intensity:
2θ (°)	Rel. int.	index
26.06	100	2 2 0
45.97	51	4 2 2
12.94	25	1 1 0
60.54	21	6 0 2
73.23	21	6 2 4
37.18	17	4 0 0
22.52	14	2 1 1
85.11	12	6 6 0
53.60	12	4 4 0
67.03	7	4 4 4

Structure:
Lattice parameters (Å, degrees): 9.6726 9.6726 9.6726 90.00 90.00 90.00
Space group Im-3 (No. 204)
Unique sites:
Rb  0.2500  0.2500  0.2500 x8
Pd  0.0000  0.0000  0.5000 x6
F  0.0000  0.3570  0.1427 x24

=====

# 8
Diffraction record for Li3Ni11As7. The powder diffraction line list is theoretical, not measured: it uses DFT lattice parameters and positions (GGA-PBE) and Cu Kα (λ = 1.5418 Å).

Most intense lines, 2θ = 10–90°, by intensity:
2θ (°)	Rel. int.	index
37.97	100	1 1 -3
48.79	98	0 2 0
26.28	91	1 1 -1
18.98	84	2 0 -1
47.14	71	4 1 -1
47.28	71	3 1 -4
37.84	68	2 1 1
38.06	67	3 1 -2
10.89	59	0 0 1
51.09	58	0 1 4

Structure:
Lattice parameters (Å, degrees): 9.3474 3.7333 9.3615 90.00 119.48 90.00
Space group Pm (No. 6)
Unique sites:
Li  0.0000  0.0000  0.0000 x1
Li  0.2382  0.0000  0.4456 x1
Li  0.6804  0.5000  0.3359 x1
Ni  0.0599  0.5000  0.5048 x1
Ni  0.2211  0.0000  0.7598 x1
Ni  0.2887  0.5000  0.2333 x1
Ni  0.3795  0.0000  0.0906 x1
Ni  0.4587  0.5000  0.9519 x1
Ni  0.5006  0.5000  0.5430 x1
Ni  0.5499  0.0000  0.7863 x1
Ni  0.7219  0.0000  0.6194 x1
Ni  0.7670  0.5000  0.0429 x1
Ni  0.9084  0.0000  0.2813 x1
Ni  0.9567  0.5000  0.7174 x1
As  0.0422  0.5000  0.2423 x1
As  0.2074  0.5000  0.9539 x1
As  0.3427  0.5000  0.6729 x1
As  0.4664  0.0000  0.3696 x1
As  0.6306  0.0000  0.0808 x1
As  0.7521  0.5000  0.7909 x1
As  0.9282  0.0000  0.5459 x1

=====

# 9
Diffraction record for Ca2HoF7. The powder diffraction line list is theoretical, not measured: it uses DFT lattice parameters and positions (GGA-PBE) and Cu Kα (λ = 1.5418 Å).

Most intense lines, 2θ = 10–90°, by intensity:
2θ (°)	Rel. int.	index
28.00	100	1 0 -1
45.75	53	1 0 -4
28.13	49	1 1 1
27.26	44	0 0 3
18.08	33	0 0 2
32.22	32	1 0 2
45.83	27	1 1 4
46.60	25	1 -1 0
46.80	25	1 2 0
46.93	25	2 1 0

Structure:
Lattice parameters (Å, degrees): 3.8726 3.8823 9.8135 89.97 89.98 60.36
Space group P1 (No. 1)
Unique sites:
Ca  0.0000  0.0000  0.0000 x1
Ca  0.3329  0.3315  0.3279 x1
Ho  0.6680  0.6733  0.6544 x1
F  0.0002  0.0000  0.5295 x1
F  0.9995  0.9984  0.2391 x1
F  0.0005  0.0016  0.7704 x1
F  0.3334  0.3340  0.0802 x1
F  0.3341  0.3368  0.6462 x1
F  0.6665  0.6654  0.4094 x1
F  0.6667  0.6671  0.9037 x1

=====

# 10
Diffraction record for Ac3LaTh2As6. The powder diffraction line list is theoretical, not measured: it uses DFT lattice parameters and positions (GGA-PBE) and Cu Kα (λ = 1.5418 Å).

Most intense lines, 2θ = 10–90°, by intensity:
2θ (°)	Rel. int.	index
28.62	100	1 3 1
40.99	39	0 6 0
40.84	38	2 0 2
24.75	29	2 0 0
50.75	21	4 0 0
67.20	18	4 6 0
66.99	18	3 3 3
48.43	16	3 3 1
74.56	13	5 3 1
59.24	13	2 6 2

Structure:
Lattice parameters (Å, degrees): 7.6260 13.2145 7.6627 90.00 109.37 90.00
Space group C2/m (No. 12)
Unique sites:
Ac  0.0000  0.0000  0.0000 x2
Ac  0.0000  0.3348  0.0000 x4
La  0.0000  0.5000  0.5000 x2
Th  0.0000  0.1670  0.5000 x4
As  0.2380  0.0000  0.7320 x4
As  0.2474  0.3305  0.7332 x8